The following is a calculated powder XRD pattern of NaCuGe. It was derived from DFT lattice parameters and positions (GGA-PBE), using Cu Kα X-rays.
Neutral-atom scattering factors, no anomalous dispersion.

Peak list (11 most intense, 2θ = 15–90°, by angle)
- 24.98°, intensity 67
- 28.92°, intensity 4
- 41.36°, intensity 100
- 48.92°, intensity 31
- 51.25°, intensity 1
- 59.92°, intensity 16
- 65.94°, intensity 12
- 67.88°, intensity 2
- 75.41°, intensity 30
- 80.89°, intensity 9
- 89.86°, intensity 10

Cell and atoms:
a = 4.3664 Å, b = 4.3664 Å, c = 4.3664 Å
α = 60.00°, β = 60.00°, γ = 60.00°
Element x y z (fractional)
Na  0.0000  0.0000  0.0000
Cu  0.7500  0.7500  0.7500
Ge  0.5000  0.5000  0.5000


The following is a calculated powder XRD pattern of ZnAsPd. It was derived from DFT lattice parameters and positions (GGA-PBE), using Cu Kα X-rays.
Neutral-atom scattering factors, no anomalous dispersion.

Peak list (12 most intense, 2θ = 15–90°, by angle)
- 23.56°, intensity 17
- 29.87°, intensity 56
- 35.66°, intensity 18
- 36.31°, intensity 100
- 41.00°, intensity 63
- 41.31°, intensity 92
- 47.09°, intensity 99
- 51.55°, intensity 24
- 60.69°, intensity 19
- 75.87°, intensity 19
- 76.04°, intensity 46
- 79.06°, intensity 29

Cell and atoms:
a = 7.7063 Å, b = 7.7063 Å, c = 4.4025 Å
α = 90.00°, β = 90.00°, γ = 157.16°
Element x y z (fractional)
Zn  0.0387  0.9613  0.5000
Zn  0.9613  0.0387  0.0000
As  0.3130  0.6870  0.0178
As  0.6870  0.3130  0.5178
Pd  0.1371  0.8629  0.0048
Pd  0.8629  0.1371  0.5048


The following is a calculated powder XRD pattern of Ta5Al. It was derived from DFT lattice parameters and positions (GGA-PBE), using Cu Kα X-rays.
Neutral-atom scattering factors, no anomalous dispersion.

Peak list (12 most intense, 2θ = 15–90°, by angle)
- 19.61°, intensity 54
- 35.62°, intensity 44
- 38.92°, intensity 100
- 39.83°, intensity 76
- 40.16°, intensity 42
- 41.46°, intensity 34
- 46.33°, intensity 22
- 60.87°, intensity 17
- 63.13°, intensity 23
- 65.55°, intensity 28
- 69.64°, intensity 28
- 83.57°, intensity 22

Cell and atoms:
a = 5.4007 Å, b = 5.4007 Å, c = 17.9519 Å
α = 90.00°, β = 90.00°, γ = 120.00°
Element x y z (fractional)
Ta  0.0000  0.0000  0.0937
Ta  0.0000  0.0000  0.4063
Ta  0.0000  0.0000  0.5937
Ta  0.0000  0.0000  0.9063
Ta  0.0000  0.5000  0.0000
Ta  0.0000  0.5000  0.5000
Ta  0.1637  0.3275  0.2500
Ta  0.1637  0.8363  0.2500
Ta  0.3275  0.1637  0.7500
Ta  0.3333  0.6667  0.1237
Ta  0.3333  0.6667  0.3763
Ta  0.5000  0.0000  0.0000
Ta  0.5000  0.0000  0.5000
Ta  0.5000  0.5000  0.0000
Ta  0.5000  0.5000  0.5000
Ta  0.6667  0.3333  0.6237
Ta  0.6667  0.3333  0.8763
Ta  0.6725  0.8363  0.2500
Ta  0.8363  0.1637  0.7500
Ta  0.8363  0.6725  0.7500
Al  0.3333  0.6667  0.6465
Al  0.3333  0.6667  0.8535
Al  0.6667  0.3333  0.1465
Al  0.6667  0.3333  0.3535


The following is a calculated powder XRD pattern of Lu4ZnPC2. It was derived from DFT lattice parameters and positions (GGA-PBE), using Cu Kα X-rays.
Neutral-atom scattering factors, no anomalous dispersion.

Peak list (12 most intense, 2θ = 15–90°, by angle)
- 26.50°, intensity 10
- 28.59°, intensity 30
- 29.37°, intensity 24
- 31.60°, intensity 9
- 35.02°, intensity 100
- 39.38°, intensity 11
- 50.09°, intensity 10
- 50.65°, intensity 29
- 62.76°, intensity 12
- 63.06°, intensity 18
- 66.57°, intensity 12
- 85.00°, intensity 16

Cell and atoms:
a = 3.6047 Å, b = 3.6047 Å, c = 13.4522 Å
α = 90.00°, β = 90.00°, γ = 120.00°
Element x y z (fractional)
Lu  0.0000  0.0000  0.1358
Lu  0.0000  0.0000  0.8642
Lu  0.6667  0.3333  0.3287
Lu  0.6667  0.3333  0.6713
Zn  0.0000  0.0000  0.5000
P  0.6667  0.3333  0.0000
C  0.3333  0.6667  0.2423
C  0.3333  0.6667  0.7577